Entry 1:
Diffraction record for Zr6CdBi. The powder diffraction line list is computed, not measured: it uses a DFT-relaxed cell (PBE, Alexandria) and a wavelength of 1.5418 Å.
Peak positions follow from Bragg's law for the DFT cell and can differ from measured ones.

Cell and atoms:
```
data_Zr6CdBi
_chemical_formula_sum 'Zr12 Cd2 Bi2'
_space_group_name_H-M_alt 'A m m 2'
_space_group_IT_number 38
_cell_length_a 5.261
_cell_length_b 6.474
_cell_length_c 10.885
_cell_angle_alpha 90.00
_cell_angle_beta 90.00
_cell_angle_gamma 90.00
loop_
_space_group_symop_operation_xyz
'x,y,z'
'-x,-y,z'
'-x,y,z'
'x,-y,z'
'x,y+1/2,z+1/2'
'-x,-y+1/2,z+1/2'
'-x,y+1/2,z+1/2'
'x,-y+1/2,z+1/2'
loop_
_atom_site_label
_atom_site_type_symbol
_atom_site_fract_x
_atom_site_fract_y
_atom_site_fract_z
_atom_site_occupancy
Zr1 Zr 0.000 0.000 0.000 1
Zr2 Zr 0.000 0.000 0.496 1
Zr3 Zr 0.000 0.239 0.248 1
Zr4 Zr 0.500 0.244 0.055 1
Cd1 Cd 0.500 0.000 0.314 1
Bi1 Bi 0.500 0.000 0.804 1
```

Peak list (12 most intense, 2θ = 10–90°, sorted by position)
2θ 32.2, d = 2.782 Å, I 12, hkl 0 2 2; 2θ 32.9, d = 2.721 Å, I 21, hkl 0 0 4; 2θ 34.1, d = 2.630 Å, I 35, hkl 2 0 0; 2θ 36.5, d = 2.459 Å, I 100, hkl 1 2 2; 2θ 37.2, d = 2.417 Å, I 25, hkl 1 0 4; 2θ 47.6, d = 1.911 Å, I 8, hkl 2 2 2; 2θ 48.1, d = 1.891 Å, I 14, hkl 2 0 4; 2θ 56.9, d = 1.618 Å, I 8, hkl 0 4 0; 2θ 58.3, d = 1.583 Å, I 11, hkl 0 2 6; 2θ 62.6, d = 1.483 Å, I 20, hkl 3 2 2; 2θ 68.0, d = 1.378 Å, I 9, hkl 2 4 0; 2θ 69.3, d = 1.356 Å, I 13, hkl 2 2 6

Entry 2:
Diffraction record for AgIrW. The powder diffraction line list is computed, not measured: it uses a DFT-relaxed cell (PBE, Alexandria) and a wavelength of 1.5418 Å.
Peak positions follow from Bragg's law for the DFT cell and can differ from measured ones.

Cell and atoms:
```
data_AgIrW
_chemical_formula_sum 'Ag2 Ir2 W2'
_space_group_name_H-M_alt 'I 4 m m'
_space_group_IT_number 107
_space_group_name_Hall 'I 4 -2'
_cell_length_a 2.846
_cell_length_b 2.846
_cell_length_c 11.991
_cell_angle_alpha 90.00
_cell_angle_beta 90.00
_cell_angle_gamma 90.00
loop_
_atom_site_label
_atom_site_type_symbol
_atom_site_fract_x
_atom_site_fract_y
_atom_site_fract_z
_atom_site_occupancy
Ag1 Ag 0.000 0.000 0.000 1
Ir1 Ir 0.000 0.000 0.321 1
W1 W 0.000 0.000 0.678 1
```

Peak list (12 most intense, 2θ = 10–90°, sorted by position)
2θ 14.8, d = 5.995 Å, I 16, hkl 0 0 2; 2θ 38.8, d = 2.319 Å, I 100, hkl 1 0 3; 2θ 45.0, d = 2.013 Å, I 34, hkl 1 1 0; 2θ 45.4, d = 1.998 Å, I 14, hkl 0 0 6; 2θ 47.7, d = 1.908 Å, I 4, hkl 1 1 2; 2θ 49.7, d = 1.834 Å, I 7, hkl 1 0 5; 2θ 65.6, d = 1.423 Å, I 11, hkl 2 0 0; 2θ 65.9, d = 1.418 Å, I 19, hkl 1 1 6; 2θ 78.9, d = 1.213 Å, I 25, hkl 2 1 3; 2θ 79.4, d = 1.207 Å, I 9, hkl 1 0 9; 2θ 83.4, d = 1.159 Å, I 10, hkl 2 0 6; 2θ 86.6, d = 1.124 Å, I 3, hkl 2 1 5